# 1
The following is a calculated powder XRD pattern of NbTcNi. It was derived from a crystal structure in Alexandria, relaxed with PBE, using λ = 1.5418 Å (Cu Kα).

Most intense lines, 15 to 90 degrees two-theta, in order of rising 2θ:
2theta  d [Å]  I_rel
38.1  2.362  91
38.4  2.342  100
43.1  2.098  48
47.4  1.920  35
48.1  1.890  53
78.1  1.224  30

Cell and atoms:
```
NbTcNi
1.0
4.8208 0.0000 0.0000
0.0000 6.0821 0.0000
0.0000 0.0000 5.9703
Nb Tc Ni
4 4 4
Cartesian
1.2052 0.9314 0.0000 Nb
1.2052 2.1096 2.9852 Nb
3.6156 3.9725 2.9852 Nb
3.6156 5.1507 0.0000 Nb
1.2052 4.0393 4.8045 Tc
1.2052 5.0839 1.8193 Tc
3.6156 0.9982 1.8193 Tc
3.6156 2.0428 4.8045 Tc
0.0000 0.0000 3.8581 Ni
0.0000 3.0411 0.8729 Ni
2.4104 0.0000 3.8581 Ni
2.4104 3.0411 0.8729 Ni
```

***

# 2
The following is a calculated powder XRD pattern of NbNiTe2. It was derived from a crystal structure in Alexandria, relaxed with PBE, using λ = 1.5418 Å (Cu Kα).

Most intense lines, 15 to 90 degrees two-theta, in order of rising 2θ:
2theta  d [Å]  I_rel
28.8  3.096  100
36.9  2.434  56
38.1  2.360  34
42.0  2.152  40
44.5  2.037  32
50.4  1.811  33

Cell and atoms:
```
NbNiTe2
1.0
8.0234 0.0000 0.0000
0.0000 7.6491 0.0000
0.0000 0.0000 6.3131
Nb Ni Te
4 4 8
Cartesian
1.6579 0.0000 0.0000 Nb
2.3538 0.0000 3.1566 Nb
5.6696 0.0000 3.1566 Nb
6.3655 0.0000 0.0000 Nb
0.0000 0.8769 2.2476 Ni
0.0000 6.7723 4.0655 Ni
4.0117 0.8769 0.9090 Ni
4.0117 6.7723 5.4041 Ni
0.0000 1.6367 4.7419 Te
0.0000 6.0124 1.5712 Te
2.0058 2.3415 1.5783 Te
2.0058 5.3076 4.7348 Te
4.0117 1.6367 4.7277 Te
4.0117 6.0124 1.5854 Te
6.0175 2.3415 1.5783 Te
6.0175 5.3076 4.7348 Te
```

***

# 3
The following is a calculated powder XRD pattern of NbNiTe2. It was derived from a crystal structure in Alexandria, relaxed with PBE, using λ = 1.5418 Å (Cu Kα).

Most intense lines, 15 to 90 degrees two-theta, in order of rising 2θ:
2theta  d [Å]  I_rel
28.8  3.103  90
28.9  3.086  83
36.9  2.438  100
42.1  2.144  41
45.3  2.002  39
50.3  1.813  59

Cell and atoms:
```
NbNiTe2
1.0
8.6104 0.0000 0.0000
0.0000 6.3246 0.0000
-3.6628 0.0000 7.1217
Nb Ni Te
4 4 8
Cartesian
-1.0006 0.0779 2.1636 Nb
-2.8320 3.0844 5.7245 Nb
7.7796 3.2402 1.3972 Nb
5.9482 6.2467 4.9581 Nb
-1.0633 4.0747 3.9599 Ni
0.7681 5.4122 0.3991 Ni
4.1794 0.9124 6.7226 Ni
6.0108 2.2499 3.1618 Ni
1.3881 1.5763 0.9019 Te
-0.4433 1.5860 4.4627 Te
1.1537 4.7279 2.8555 Te
-0.6777 4.7590 6.4164 Te
5.6253 1.5656 0.7053 Te
3.7939 1.5967 4.2662 Te
5.3908 4.7386 2.6590 Te
3.5594 4.7482 6.2198 Te
```

***

# 4
The following is a calculated powder XRD pattern of Nb2Ni5Te6. It was derived from a crystal structure in Alexandria, relaxed with PBE, using λ = 1.5418 Å (Cu Kα).

Most intense lines, 15 to 90 degrees two-theta, in order of rising 2θ:
2theta  d [Å]  I_rel
27.8  3.207  76
28.7  3.106  78
29.3  3.044  69
43.2  2.096  100
43.4  2.083  95
48.1  1.892  78

Cell and atoms:
```
Nb2Ni5Te6
1.0
7.5679 0.0000 0.0000
3.7350 7.5251 0.0000
3.7110 2.8184 9.6204
Nb Ni Te
4 10 12
Cartesian
2.7971 2.3630 2.8632 Nb
8.4243 7.9312 6.8286 Nb
6.5895 2.4123 2.7918 Nb
12.2167 7.9806 6.7572 Nb
2.8195 1.9461 5.4966 Ni
6.5509 7.0995 8.7654 Ni
4.7027 5.8451 0.0233 Ni
4.7218 3.2805 0.8398 Ni
8.4427 8.4116 4.1362 Ni
6.5711 1.9320 5.4842 Ni
10.2920 7.0630 8.7805 Ni
10.3111 4.4985 9.5970 Ni
8.4629 3.2441 0.8550 Ni
12.1943 8.3975 4.1238 Ni
4.6859 5.5533 7.9851 Te
0.9388 0.6899 1.5345 Te
4.7083 3.5030 4.7467 Te
6.5451 6.8705 4.8315 Te
10.3455 9.5892 8.0776 Te
8.3629 5.4577 7.9714 Te
6.6509 4.8859 1.6490 Te
4.6683 0.7543 1.5428 Te
8.4687 3.4731 4.7889 Te
10.3055 6.8406 4.8737 Te
14.0750 9.6537 8.0859 Te
10.3280 4.7902 1.6353 Te
```

***

# 5
The following is a calculated powder XRD pattern of TiNbNi. It was derived from a crystal structure in Alexandria, relaxed with PBE, using λ = 1.5418 Å (Cu Kα).

Most intense lines, 15 to 90 degrees two-theta, in order of rising 2θ:
2theta  d [Å]  I_rel
36.7  2.451  88
38.6  2.334  100
41.9  2.154  55
45.7  1.984  39
47.5  1.914  55
48.1  1.891  38

Cell and atoms:
```
TiNbNi
1.0
0.0000 4.1652 4.5133
2.4516 0.0000 4.5133
2.4516 4.1652 0.0000
Ti Nb Ni
2 2 2
Cartesian
2.4516 4.1652 1.4083 Ti
2.4516 4.1652 7.6183 Ti
2.4516 2.8435 4.5133 Nb
2.4516 5.4868 4.5133 Nb
1.2258 2.0826 2.2567 Ni
3.6774 6.2477 6.7700 Ni
```

***

# 6
The following is a calculated powder XRD pattern of TiNb3Ni12. It was derived from a crystal structure in Alexandria, relaxed with PBE, using λ = 1.5418 Å (Cu Kα).

Most intense lines, 15 to 90 degrees two-theta, in order of rising 2θ:
2theta  d [Å]  I_rel
40.4  2.232  27
42.8  2.110  43
45.2  2.006  56
46.0  1.973  100
80.7  1.190  17
87.9  1.111  18

Cell and atoms:
```
TiNb3Ni12
1.0
4.2210 0.0000 0.0000
0.0000 10.2346 0.0000
0.0000 0.0000 4.5611
Ti Nb Ni
1 3 12
Cartesian
0.0000 0.0000 0.0000 Ti
0.0000 5.1173 4.5531 Nb
2.1105 2.5456 1.3813 Nb
2.1105 7.6890 1.3813 Nb
0.0000 1.2491 2.2383 Ni
0.0000 2.5371 4.4018 Ni
0.0000 3.8378 2.2402 Ni
0.0000 6.3968 2.2402 Ni
0.0000 7.6975 4.4018 Ni
0.0000 8.9855 2.2383 Ni
2.1105 0.0000 1.5156 Ni
2.1105 1.2668 3.7008 Ni
2.1105 3.8279 3.6968 Ni
2.1105 5.1173 1.5255 Ni
2.1105 6.4067 3.6968 Ni
2.1105 8.9678 3.7008 Ni
```

***

# 7
The following is a calculated powder XRD pattern of UNb2Ni9. It was derived from a crystal structure in Alexandria, relaxed with PBE, using λ = 1.5418 Å (Cu Kα).

Most intense lines, 15 to 90 degrees two-theta, in order of rising 2θ:
2theta  d [Å]  I_rel
34.2  2.624  37
37.3  2.410  26
37.4  2.402  36
43.7  2.072  31
44.2  2.051  100
72.2  1.308  19

Cell and atoms:
```
UNb2Ni9
1.0
2.4021 1.3868 7.8853
-2.4021 1.3868 7.8853
0.0000 -2.7737 7.8853
U Nb Ni
1 2 9
Cartesian
0.0000 0.0000 0.0000 U
0.0000 0.0000 3.3643 Nb
0.0000 0.0000 20.2917 Nb
-1.2128 -0.7002 9.9146 Ni
0.0000 0.0000 7.8875 Ni
0.0000 -1.4004 13.7414 Ni
-1.2128 0.7002 13.7414 Ni
0.0000 0.0000 11.8280 Ni
1.2128 -0.7002 9.9146 Ni
0.0000 1.4004 9.9146 Ni
0.0000 0.0000 15.7684 Ni
1.2128 0.7002 13.7413 Ni
```

***

# 8
The following is a calculated powder XRD pattern of Nb6VNi. It was derived from a crystal structure in Alexandria, relaxed with PBE, using λ = 1.5418 Å (Cu Kα).

Most intense lines, 15 to 90 degrees two-theta, in order of rising 2θ:
2theta  d [Å]  I_rel
39.3  2.291  51
39.5  2.282  100
56.8  1.620  17
71.4  1.321  33
71.7  1.316  15
85.0  1.141  10

Cell and atoms:
```
Nb6VNi
1.0
4.5826 0.0000 0.0000
0.0000 4.5826 0.0000
0.0000 0.0000 12.8599
Nb V Ni
12 2 2
Cartesian
0.0000 0.0000 3.1501 Nb
0.0000 0.0000 9.7098 Nb
0.0000 2.2913 1.5393 Nb
0.0000 2.2913 4.8907 Nb
0.0000 2.2913 7.9693 Nb
0.0000 2.2913 11.3207 Nb
2.2913 0.0000 1.5393 Nb
2.2913 0.0000 4.8907 Nb
2.2913 0.0000 7.9693 Nb
2.2913 0.0000 11.3207 Nb
2.2913 2.2913 3.2798 Nb
2.2913 2.2913 9.5801 Nb
0.0000 0.0000 0.0000 V
2.2913 2.2913 6.4300 V
0.0000 0.0000 6.4300 Ni
2.2913 2.2913 0.0000 Ni
```